Simulated X-ray diffraction stick pattern of Cs2MgOsBr6 for Cu Kα (weighted mean of Kα1 and Kα2), from a PBE-relaxed structure.
Peak positions follow from Bragg's law for the DFT cell and can differ from measured ones.

Largest 10 diffraction maxima, by angle, 2θ from 10° to 80°:
14.38 deg, I = 36; 23.58 deg, I = 51; 27.72 deg, I = 16; 28.98 deg, I = 63; 33.59 deg, I = 100; 41.45 deg, I = 23; 48.24 deg, I = 71; 57.26 deg, I = 25; 60.06 deg, I = 24; 65.45 deg, I = 12

Structural model:
Cell: 10.6720 10.6720 10.6720 Å, 90.00 90.00 90.00°
Space group Fm-3m (No. 225)
Symmetry-distinct sites (fractional):
Cs (0.2500, 0.2500, 0.2500) [8 per cell]
Mg (0.0000, 0.0000, 0.0000) [4 per cell]
Os (0.0000, 0.0000, 0.5000) [4 per cell]
Br (0.0000, 0.0000, 0.2573) [24 per cell]